[1]
# Pm8PrSc5
Calculated powder diffraction line list, copper Kα. Input: the PBE geometry in Alexandria.
Kinematic intensities with the Lorentz-polarization factor, no thermal factor.

Structure:
abc: 8.267 8.269 8.437
angles: 113.66 116.05 98.17
Element x y z (fractional)
Pm 0.000 0.000 0.000
Pm 0.017 0.726 0.603
Pm 0.133 0.368 0.534
Pm 0.294 0.748 0.075
Pm 0.423 0.526 0.371
Pm 0.460 0.149 0.609
Pm 0.583 0.563 0.006
Pm 0.615 0.202 0.239
Pr 0.012 0.858 0.305
Sc 0.213 0.207 0.853
Sc 0.520 0.865 0.805
Sc 0.755 0.987 0.554
Sc 0.815 0.510 0.757
Sc 0.893 0.351 0.055

Most intense lines, 2θ = 10–80°, by angle:
- 21.4 deg, I = 25.1
- 26.0 deg, I = 27.8
- 26.7 deg, I = 19.5
- 30.5 deg, I = 32.0
- 31.4 deg, I = 20.8
- 31.6 deg, I = 14.3
- 32.2 deg, I = 100.0
- 33.0 deg, I = 50.9
- 33.7 deg, I = 48.6
- 35.6 deg, I = 34.9

[2]
# Ti2Zn3Pt2
Calculated powder diffraction line list, copper Kα. Input: the PBE geometry in Alexandria.
Kinematic intensities with the Lorentz-polarization factor, no thermal factor.

Structure:
abc: 6.869 6.869 6.869
angles: 38.00 38.00 38.00
Element x y z (fractional)
Ti 0.220 0.220 0.220
Ti 0.780 0.780 0.780
Zn 0.366 0.366 0.366
Zn 0.500 0.500 0.500
Zn 0.634 0.634 0.634
Pt 0.087 0.087 0.087
Pt 0.913 0.913 0.913

Most intense lines, 2θ = 10–80°, by angle:
- 23.4 deg, I = 26.3
- 24.8 deg, I = 14.6
- 28.0 deg, I = 16.8
- 29.7 deg, I = 23.2
- 32.9 deg, I = 27.7
- 40.3 deg, I = 100.0
- 40.4 deg, I = 71.4
- 49.8 deg, I = 21.3
- 58.4 deg, I = 23.6
- 73.4 deg, I = 40.0

[3]
# LiFe3Br9
Calculated powder diffraction line list, copper Kα. Input: the PBE geometry in Alexandria.
Kinematic intensities with the Lorentz-polarization factor, no thermal factor.

Structure:
abc: 9.786 9.786 13.491
angles: 116.12 116.12 70.64
Element x y z (fractional)
Li 0.113 0.887 0.500
Li 0.887 0.113 0.000
Fe 0.047 0.371 0.690
Fe 0.371 0.047 0.190
Fe 0.464 0.743 0.363
Fe 0.743 0.464 0.863
Fe 0.780 0.861 0.146
Fe 0.861 0.780 0.646
Br 0.093 0.826 0.662
Br 0.156 0.180 0.076
Br 0.180 0.156 0.576
Br 0.205 0.533 0.849
Br 0.269 0.912 0.252
Br 0.331 0.675 0.439
Br 0.504 0.850 0.052
Br 0.533 0.205 0.349
Br 0.539 0.579 0.740
Br 0.579 0.539 0.240
Br 0.642 0.920 0.524
Br 0.675 0.331 0.939
Br 0.815 0.869 0.822
Br 0.826 0.093 0.162
Br 0.850 0.504 0.552
Br 0.869 0.815 0.322
Br 0.912 0.269 0.752
Br 0.920 0.642 0.024

Most intense lines, 2θ = 10–80°, by angle:
- 10.2 deg, I = 37.9
- 10.5 deg, I = 34.0
- 14.9 deg, I = 58.4
- 21.3 deg, I = 24.2
- 26.2 deg, I = 34.0
- 26.7 deg, I = 25.4
- 27.1 deg, I = 100.0
- 28.1 deg, I = 49.1
- 29.6 deg, I = 22.2
- 47.7 deg, I = 26.4